Record 1
Diffraction record for Nd4Zr2Cu. The PXRD pattern is theoretical, not measured: it uses DFT lattice parameters and positions (GGA-PBE) and a wavelength of 1.5418 Å.
Peak positions follow from Bragg's law for the DFT cell and can differ from measured ones.

The 8 most intense peaks (5° ≤ 2θ ≤ 70°), by intensity:
d [Å]	intensity
2.634	100
2.399	38
1.426	29
1.575	20
3.393	14
1.697	13
2.089	13
4.178	12

Structural model:
Unit cell a=6.787 b=6.787 c=4.178 alpha=90.00 beta=90.00 gamma=90.00
Element x y z (fractional)
Nd (0.249, 0.249, 0.492)
Nd (0.249, 0.751, 0.508)
Nd (0.751, 0.249, 0.508)
Nd (0.751, 0.751, 0.492)
Zr (0.000, 0.500, 0.000)
Zr (0.500, 0.000, 0.000)
Cu (0.000, 0.000, 0.000)



Record 2
Diffraction record for Pm3Cu2Ni7. The PXRD pattern is theoretical, not measured: it uses DFT lattice parameters and positions (GGA-PBE) and a wavelength of 1.5418 Å.
Peak positions follow from Bragg's law for the DFT cell and can differ from measured ones.

The 8 most intense peaks (5° ≤ 2θ ≤ 70°), by intensity:
d [Å]	intensity
2.155	100
2.535	54
2.741	44
2.186	39
2.516	38
1.378	22
2.004	17
1.990	15

Structural model:
Unit cell a=8.694 b=8.694 c=8.694 alpha=33.90 beta=33.90 gamma=33.90
Element x y z (fractional)
Pm (0.000, 0.000, 0.000)
Pm (0.139, 0.139, 0.139)
Pm (0.861, 0.861, 0.861)
Cu (0.333, 0.333, 0.333)
Cu (0.667, 0.667, 0.667)
Ni (0.082, 0.582, 0.582)
Ni (0.418, 0.418, 0.918)
Ni (0.418, 0.918, 0.418)
Ni (0.500, 0.500, 0.500)
Ni (0.582, 0.082, 0.582)
Ni (0.582, 0.582, 0.082)
Ni (0.918, 0.418, 0.418)



Record 3
Diffraction record for RbCuNiSeS2. The PXRD pattern is theoretical, not measured: it uses DFT lattice parameters and positions (GGA-PBE) and a wavelength of 1.5418 Å.
Peak positions follow from Bragg's law for the DFT cell and can differ from measured ones.

The 8 most intense peaks (5° ≤ 2θ ≤ 70°), by intensity:
d [Å]	intensity
2.772	100
7.518	78
2.465	40
2.170	28
1.437	28
1.629	27
4.930	23
3.759	18

Structural model:
Unit cell a=7.723 b=7.723 c=9.860 alpha=90.00 beta=90.00 gamma=153.54
Element x y z (fractional)
Rb (0.246, 0.754, 0.750)
Rb (0.754, 0.246, 0.250)
Cu (0.453, 0.547, 0.250)
Cu (0.547, 0.453, 0.750)
Ni (0.000, 0.000, 0.000)
Ni (0.000, 0.000, 0.500)
Se (0.060, 0.940, 0.250)
Se (0.940, 0.060, 0.750)
S (0.403, 0.597, 0.036)
S (0.403, 0.597, 0.464)
S (0.597, 0.403, 0.536)
S (0.597, 0.403, 0.964)



Which formula does entry 2 have?
Pm3Cu2Ni7